Simulated PXRD pattern
Compound: NaAsO6
Radiation: CuKα
Structure: a cell relaxed with PBE
Peak positions follow from Bragg's law for the DFT cell and can differ from measured ones.

Structure:
Lattice parameters (Å, degrees): 7.042 4.632 9.055 90.00 101.46 90.00
Space group P2_1 (No. 4)
Unique sites:
Na1 0.112 0.000 0.102 (multiplicity 2)
As1 0.443 0.477 0.108 (multiplicity 2)
O1 0.031 0.124 0.687 (multiplicity 2)
O2 0.138 0.947 0.767 (multiplicity 2)
O3 0.192 0.507 0.063 (multiplicity 2)
O4 0.301 0.512 0.567 (multiplicity 2)
O5 0.337 0.284 0.508 (multiplicity 2)
O6 0.469 0.087 0.067 (multiplicity 2)

Largest 10 diffraction maxima, in order of falling intensity, 5° ≤ 2θ ≤ 70°:
hkl  2theta  d [Å]  Rel. int.
0 0 1  9.97  8.874  100
1 1 -2  28.99  3.080  48
2 1 0  32.34  2.768  31
1 0 2  25.94  3.435  31
1 0 0  12.83  6.902  27
0 1 1  21.64  4.107  21
1 0 -4  40.20  2.243  20
0 1 2  27.84  3.204  15
2 0 1  29.58  3.020  14
1 0 1  17.78  4.989  14